[1]
Theoretical X-ray powder pattern of Be9CrW2 for Cu Kα (λ = 1.5418 Å), from a DFT-relaxed cell (GGA-PBE, Alexandria).
Intensities are scaled so that the largest is 100.

Cell and atoms:
```
24
Lattice="4.396 0.000 0.000 -2.198 3.807 0.000 0.000 0.000 13.825" Properties=species:S:1:pos:R:3 pbc="T T T"
Be 0.000 0.000 0.000
Be 0.000 0.000 3.456
Be 0.000 0.000 6.913
Be 0.000 0.000 10.369
Be 0.000 1.285 1.762
Be 0.000 1.285 5.150
Be -1.085 3.164 1.762
Be -1.085 3.164 5.150
Be 0.000 2.538 3.456
Be 1.113 0.642 8.675
Be 1.113 0.642 12.063
Be 1.085 3.164 1.762
Be 1.085 3.164 5.150
Be 2.198 1.269 10.369
Be 3.283 0.642 8.675
Be 3.283 0.642 12.063
Be 2.198 2.522 8.675
Be 2.198 2.522 12.063
Cr 0.000 2.538 10.369
Cr 2.198 1.269 3.456
W 0.000 2.538 7.360
W 0.000 2.538 13.378
W 2.198 1.269 0.447
W 2.198 1.269 6.465
```

Main lines, sorted by position (10 to 90 degrees two-theta):
2theta  d (Å)  intensity
12.81  6.913  100.0
23.37  3.807  40.1
25.78  3.456  23.0
26.73  3.335  28.7
40.31  2.237  53.0
41.07  2.198  44.8
43.19  2.095  33.2
49.12  1.855  32.8


[2]
Theoretical X-ray powder pattern of Mn4Fe2Tc3 for Cu Kα (λ = 1.5418 Å), from a DFT-relaxed cell (GGA-PBE, Alexandria).
Intensities are scaled so that the largest is 100.

Cell and atoms:
```
9
Lattice="4.151 0.000 0.000 -2.076 3.595 0.000 0.000 0.000 7.719" Properties=species:S:1:pos:R:3 pbc="T T T"
Mn 0.000 0.000 1.274
Mn 0.000 0.000 6.445
Mn 0.000 2.397 2.980
Mn 2.076 1.198 4.740
Fe 0.000 2.397 0.397
Fe 2.076 1.198 7.322
Tc 0.000 0.000 3.860
Tc 0.000 2.397 5.630
Tc 2.076 1.198 2.089
```

Main lines, sorted by position (10 to 90 degrees two-theta):
2theta  d (Å)  intensity
27.37  3.259  13.3
34.08  2.631  7.7
43.24  2.092  100.0
43.61  2.076  98.2
63.09  1.474  30.3
79.05  1.211  14.9
79.82  1.202  29.6
80.08  1.198  14.8


[3]
Theoretical X-ray powder pattern of K3NpPa3Te8 for Cu Kα (λ = 1.5418 Å), from a DFT-relaxed cell (GGA-PBE, Alexandria).
Intensities are scaled so that the largest is 100.

Cell and atoms:
```
15
Lattice="4.392 2.536 8.543 -4.392 2.536 8.543 0.000 -5.072 8.543" Properties=species:S:1:pos:R:3 pbc="T T T"
K -2.196 -1.268 8.543
K -2.196 1.268 17.086
K 0.000 2.536 8.543
Np 0.000 0.000 12.815
Pa -4.392 0.000 12.815
Pa -2.196 1.268 4.272
Pa 2.196 1.268 4.272
Te -2.238 -1.292 14.629
Te 0.000 0.000 6.108
Te 0.000 -2.585 11.000
Te -2.238 1.292 11.000
Te 2.238 -1.292 14.629
Te 0.000 2.585 14.629
Te 0.000 0.000 19.521
Te 2.238 1.292 11.000
```

Main lines, sorted by position (10 to 90 degrees two-theta):
2theta  d (Å)  intensity
10.35  8.543  75.9
23.65  3.763  17.6
27.27  3.271  100.0
33.99  2.638  24.3
36.68  2.450  39.6
41.10  2.196  34.8
42.50  2.127  17.2
50.03  1.823  18.8


[4]
Theoretical X-ray powder pattern of Mg7P6H4O24 for Cu Kα (λ = 1.5418 Å), from a DFT-relaxed cell (GGA-PBE, Alexandria).
Intensities are scaled so that the largest is 100.

Cell and atoms:
```
41
Lattice="6.495 0.000 0.000 -1.538 7.771 0.000 -3.030 -3.039 8.522" Properties=species:S:1:pos:R:3 pbc="T T T"
Mg 0.000 0.000 0.000
Mg -2.324 3.972 4.382
Mg -0.307 5.415 2.429
Mg 1.466 3.214 0.930
Mg 0.462 1.518 7.592
Mg 2.235 -0.683 6.093
Mg 4.251 0.760 4.139
P -2.826 2.005 7.050
P -1.106 -1.228 6.623
P 1.195 0.679 3.179
P 0.733 4.054 5.343
P 3.034 5.961 1.899
P 4.754 2.727 1.471
H -2.660 4.331 6.881
H 0.053 1.581 4.796
H 1.875 3.151 3.726
H 4.588 0.401 1.641
O -2.153 -0.640 5.651
O -2.441 2.252 5.566
O -3.234 3.374 7.690
O -0.516 3.682 1.403
O -2.332 5.053 6.146
O -1.719 -1.411 8.042
O 0.908 -0.342 2.066
O -0.139 0.884 4.059
O -1.612 1.409 7.788
O -0.302 4.585 4.326
O 0.225 -0.459 6.576
O 1.577 2.055 2.630
O 0.351 2.677 5.891
O 1.703 5.191 1.946
O 2.229 0.147 4.196
O 3.540 3.323 0.734
O 2.067 3.848 4.462
O 1.019 5.074 6.456
O 3.647 6.143 0.480
O 4.260 -0.321 2.376
O 2.444 1.050 7.119
O 5.162 1.358 0.832
O 4.369 2.480 2.956
O 4.081 5.372 2.870
```

Main lines, sorted by position (10 to 90 degrees two-theta):
2theta  d (Å)  intensity
20.29  4.378  15.0
24.52  3.630  14.3
28.00  3.186  51.9
29.17  3.062  34.7
29.64  3.014  100.0
30.80  2.903  18.1
31.20  2.866  15.1
57.50  1.603  19.4